This entry pairs a crystal structure of Th2S5 with its simulated powder X-ray diffraction pattern. Radiation: CuKα. Structure: a crystal structure in the Materials Project, relaxed with GGA-PBE.
Lines closer than 0.1° are merged.

Structure:
abc: 7.629 10.232 7.669
angles: 90.00 90.00 90.00
Fractional coordinates of all 28 atoms:
Th 0.233 0.147 0.020
Th 0.233 0.853 0.520
Th 0.267 0.353 0.520
Th 0.267 0.647 0.020
Th 0.733 0.353 0.980
Th 0.733 0.647 0.480
Th 0.767 0.147 0.480
Th 0.767 0.853 0.980
S 0.000 0.247 0.750
S 0.000 0.753 0.250
S 0.099 0.399 0.150
S 0.099 0.601 0.650
S 0.138 0.108 0.388
S 0.138 0.892 0.888
S 0.362 0.392 0.888
S 0.362 0.608 0.388
S 0.401 0.101 0.650
S 0.401 0.899 0.150
S 0.500 0.253 0.250
S 0.500 0.747 0.750
S 0.599 0.101 0.850
S 0.599 0.899 0.350
S 0.638 0.392 0.612
S 0.638 0.608 0.112
S 0.862 0.108 0.112
S 0.862 0.892 0.612
S 0.901 0.399 0.350
S 0.901 0.601 0.850

Most intense lines, 2θ from 5° to 70°, sorted by position:
| 2θ (°) | intensity |
| --- | --- |
| 23.20 | 31 |
| 23.32 | 31 |
| 23.94 | 100 |
| 33.13 | 37 |
| 35.08 | 16 |
| 41.21 | 40 |
| 41.36 | 41 |
| 42.52 | 28 |

This entry pairs a crystal structure of ThS2 with its simulated powder X-ray diffraction pattern. Radiation: CuKα. Structure: a crystal structure in the Materials Project, relaxed with GGA-PBE.
Lines closer than 0.1° are merged.

Structure:
abc: 7.278 4.300 8.650
angles: 90.00 90.00 90.00
Fractional coordinates of all 12 atoms:
Th 0.250 0.250 0.117
Th 0.250 0.750 0.617
Th 0.750 0.250 0.383
Th 0.750 0.750 0.883
S 0.028 0.250 0.835
S 0.139 0.250 0.429
S 0.361 0.750 0.929
S 0.472 0.750 0.335
S 0.528 0.250 0.665
S 0.639 0.250 0.071
S 0.861 0.750 0.571
S 0.972 0.750 0.165

Most intense lines, 2θ from 5° to 70°, sorted by position:
| 2θ (°) | intensity |
| --- | --- |
| 23.10 | 52 |
| 23.93 | 100 |
| 24.46 | 48 |
| 26.18 | 87 |
| 33.90 | 70 |
| 37.56 | 37 |
| 42.74 | 36 |
| 48.96 | 48 |

This entry pairs a crystal structure of ThS with its simulated powder X-ray diffraction pattern. Radiation: CuKα. Structure: a crystal structure in the Materials Project, relaxed with GGA-PBE.
Lines closer than 0.1° are merged.

Structure:
abc: 4.044 4.044 4.044
angles: 60.00 60.00 60.00
Fractional coordinates of all 2 atoms:
Th 0.000 0.000 0.000
S 0.500 0.500 0.500

Most intense lines, 2θ from 5° to 70°, sorted by position:
| 2θ (°) | intensity |
| --- | --- |
| 27.00 | 100 |
| 31.28 | 97 |
| 44.82 | 72 |
| 53.11 | 51 |
| 55.67 | 25 |
| 65.25 | 12 |

This entry pairs a crystal structure of ThUS2 with its simulated powder X-ray diffraction pattern. Radiation: CuKα. Structure: a crystal structure in the Materials Project, relaxed with GGA-PBE.
Lines closer than 0.1° are merged.

Structure:
abc: 3.966 3.966 5.616
angles: 90.00 90.00 90.00
Fractional coordinates of all 4 atoms:
Th 0.000 0.000 0.000
U 0.500 0.500 0.500
S 0.000 0.000 0.500
S 0.500 0.500 0.000

Most intense lines, 2θ from 5° to 70°, sorted by position:
| 2θ (°) | intensity |
| --- | --- |
| 27.53 | 100 |
| 31.90 | 96 |
| 45.74 | 71 |
| 54.22 | 50 |
| 56.84 | 25 |
| 66.68 | 12 |

This entry pairs a crystal structure of ThUS2 with its simulated powder X-ray diffraction pattern. Radiation: CuKα. Structure: a crystal structure in the Materials Project, relaxed with GGA-PBE.
Lines closer than 0.1° are merged.

Structure:
abc: 7.074 7.074 7.074
angles: 31.84 31.84 31.84
Fractional coordinates of all 4 atoms:
Th 0.000 0.000 0.000
U 0.500 0.500 0.500
S 0.246 0.246 0.246
S 0.754 0.754 0.754

Most intense lines, 2θ from 5° to 70°, sorted by position:
| 2θ (°) | intensity |
| --- | --- |
| 26.57 | 29 |
| 27.99 | 76 |
| 32.02 | 100 |
| 45.01 | 39 |
| 46.81 | 35 |
| 53.03 | 14 |
| 54.65 | 34 |
| 57.84 | 19 |

This entry pairs a crystal structure of Ti7S12 with its simulated powder X-ray diffraction pattern. Radiation: CuKα. Structure: a crystal structure in the Materials Project, relaxed with GGA-PBE.
Lines closer than 0.1° are merged.

Structure:
abc: 6.862 8.998 11.837
angles: 80.61 89.99 78.93
Fractional coordinates of all 38 atoms:
Ti 0.000 0.000 0.000
Ti 0.079 0.667 0.498
Ti 0.170 0.321 0.999
Ti 0.253 0.003 0.502
Ti 0.321 0.721 0.735
Ti 0.333 0.670 0.003
Ti 0.420 0.337 0.499
Ti 0.500 0.000 0.000
Ti 0.580 0.663 0.501
Ti 0.667 0.330 0.997
Ti 0.679 0.279 0.265
Ti 0.747 0.997 0.498
Ti 0.830 0.679 0.001
Ti 0.921 0.333 0.502
S 0.031 0.864 0.626
S 0.062 0.751 0.122
S 0.108 0.583 0.877
S 0.131 0.472 0.378
S 0.200 0.196 0.622
S 0.229 0.083 0.122
S 0.271 0.915 0.873
S 0.299 0.803 0.383
S 0.369 0.520 0.629
S 0.398 0.415 0.127
S 0.438 0.249 0.877
S 0.461 0.136 0.372
S 0.539 0.864 0.628
S 0.562 0.751 0.123
S 0.602 0.585 0.873
S 0.631 0.480 0.371
S 0.701 0.197 0.617
S 0.729 0.085 0.127
S 0.771 0.917 0.878
S 0.800 0.804 0.378
S 0.869 0.528 0.622
S 0.892 0.417 0.123
S 0.938 0.249 0.878
S 0.969 0.136 0.374

Most intense lines, 2θ from 5° to 70°, sorted by position:
| 2θ (°) | intensity |
| --- | --- |
| 15.18 | 100 |
| 32.80 | 38 |
| 35.19 | 51 |
| 36.61 | 46 |
| 39.85 | 62 |
| 40.01 | 31 |
| 47.56 | 31 |
| 53.82 | 51 |

This entry pairs a crystal structure of Ti3S2 with its simulated powder X-ray diffraction pattern. Radiation: CuKα. Structure: a crystal structure in the Materials Project, relaxed with GGA-PBE.
Lines closer than 0.1° are merged.

Structure:
abc: 4.505 4.505 4.505
angles: 74.06 74.06 74.06
Fractional coordinates of all 5 atoms:
Ti 0.000 0.336 0.664
Ti 0.336 0.664 0.000
Ti 0.664 0.000 0.336
S 0.168 0.168 0.168
S 0.832 0.832 0.832

Most intense lines, 2θ from 5° to 70°, sorted by position:
| 2θ (°) | intensity |
| --- | --- |
| 21.00 | 12 |
| 26.39 | 8 |
| 27.55 | 11 |
| 33.02 | 52 |
| 43.52 | 100 |
| 56.88 | 9 |
| 58.96 | 24 |
| 67.36 | 11 |

This entry pairs a crystal structure of Ti8S3 with its simulated powder X-ray diffraction pattern. Radiation: CuKα. Structure: a crystal structure in the Materials Project, relaxed with GGA-PBE.
Lines closer than 0.1° are merged.

Structure:
abc: 12.609 12.609 19.213
angles: 122.59 122.59 15.20
Fractional coordinates of all 44 atoms:
Ti 0.010 0.010 0.411
Ti 0.011 0.011 0.925
Ti 0.060 0.060 0.780
Ti 0.152 0.152 0.703
Ti 0.163 0.163 0.346
Ti 0.199 0.199 0.967
Ti 0.233 0.233 0.541
Ti 0.282 0.282 0.893
Ti 0.295 0.295 0.373
Ti 0.304 0.304 0.751
Ti 0.329 0.329 0.161
Ti 0.379 0.379 0.568
Ti 0.405 0.405 0.085
Ti 0.420 0.420 0.928
Ti 0.433 0.433 0.444
Ti 0.449 0.449 0.778
Ti 0.551 0.551 0.222
Ti 0.567 0.567 0.556
Ti 0.580 0.580 0.072
Ti 0.595 0.595 0.915
Ti 0.621 0.621 0.432
Ti 0.671 0.671 0.839
Ti 0.696 0.696 0.249
Ti 0.705 0.705 0.627
Ti 0.718 0.718 0.107
Ti 0.767 0.767 0.459
Ti 0.801 0.801 0.033
Ti 0.837 0.837 0.654
Ti 0.848 0.848 0.297
Ti 0.940 0.940 0.220
Ti 0.989 0.989 0.075
Ti 0.990 0.990 0.589
S 0.054 0.054 0.324
S 0.108 0.108 0.185
S 0.129 0.129 0.533
S 0.130 0.130 0.027
S 0.256 0.256 0.220
S 0.428 0.428 0.309
S 0.572 0.572 0.691
S 0.744 0.744 0.780
S 0.870 0.870 0.973
S 0.871 0.871 0.467
S 0.892 0.892 0.815
S 0.946 0.946 0.676

Most intense lines, 2θ from 5° to 70°, sorted by position:
| 2θ (°) | intensity |
| --- | --- |
| 37.29 | 43 |
| 39.13 | 55 |
| 39.37 | 66 |
| 39.71 | 80 |
| 40.46 | 46 |
| 40.80 | 100 |
| 41.46 | 52 |
| 55.06 | 64 |

This entry pairs a crystal structure of Ti3S4 with its simulated powder X-ray diffraction pattern. Radiation: CuKα. Structure: a crystal structure in the Materials Project, relaxed with GGA-PBE.
Lines closer than 0.1° are merged.

Structure:
abc: 3.444 3.444 11.812
angles: 90.00 90.00 120.00
Fractional coordinates of all 7 atoms:
Ti 0.000 0.000 0.000
Ti 0.000 0.000 0.274
Ti 0.333 0.667 0.766
S 0.000 0.000 0.647
S 0.333 0.667 0.140
S 0.667 0.333 0.390
S 0.667 0.333 0.889

Most intense lines, 2θ from 5° to 70°, sorted by position:
| 2θ (°) | intensity |
| --- | --- |
| 7.48 | 74 |
| 15.00 | 21 |
| 33.66 | 58 |
| 37.84 | 100 |
| 43.10 | 31 |
| 49.20 | 25 |
| 53.18 | 49 |
| 55.96 | 19 |

This entry pairs a crystal structure of Ti3S4 with its simulated powder X-ray diffraction pattern. Radiation: CuKα. Structure: a crystal structure in the Materials Project, relaxed with GGA-PBE.
Lines closer than 0.1° are merged.

Structure:
abc: 3.406 3.406 12.086
angles: 90.00 90.00 120.00
Fractional coordinates of all 7 atoms:
Ti 0.000 0.000 0.000
Ti 0.333 0.667 0.744
Ti 0.667 0.333 0.256
S 0.333 0.667 0.124
S 0.333 0.667 0.373
S 0.667 0.333 0.627
S 0.667 0.333 0.876

Most intense lines, 2θ from 5° to 70°, sorted by position:
| 2θ (°) | intensity |
| --- | --- |
| 7.31 | 69 |
| 14.66 | 17 |
| 30.30 | 15 |
| 33.81 | 46 |
| 37.80 | 100 |
| 48.70 | 48 |
| 53.82 | 44 |
| 67.64 | 15 |

This entry pairs a crystal structure of Ti9S10 with its simulated powder X-ray diffraction pattern. Radiation: CuKα. Structure: a crystal structure in the Materials Project, relaxed with GGA-PBE.
Lines closer than 0.1° are merged.

Structure:
abc: 9.034 9.119 11.830
angles: 77.52 70.89 85.95
Fractional coordinates of all 57 atoms:
Ti 0.000 0.000 0.000
Ti 0.000 0.993 0.499
Ti 0.002 0.349 0.439
Ti 0.008 0.643 0.052
Ti 0.199 0.351 0.641
Ti 0.199 0.999 0.199
Ti 0.200 0.001 0.698
Ti 0.201 0.647 0.257
Ti 0.203 0.649 0.756
Ti 0.208 0.357 0.140
Ti 0.392 0.354 0.346
Ti 0.397 0.651 0.958
Ti 0.399 0.997 0.398
Ti 0.401 0.643 0.465
Ti 0.402 0.006 0.897
Ti 0.598 0.995 0.099
Ti 0.599 0.650 0.657
Ti 0.601 0.001 0.600
Ti 0.602 0.349 0.040
Ti 0.607 0.360 0.534
Ti 0.792 0.642 0.857
Ti 0.798 0.998 0.798
Ti 0.799 0.350 0.740
Ti 0.799 0.351 0.240
Ti 0.799 0.645 0.358
Ti 0.803 0.997 0.298
Ti 0.992 0.360 0.938
S 0.000 0.828 0.360
S 0.001 0.499 0.247
S 0.001 0.829 0.860
S 0.188 0.511 0.456
S 0.198 0.172 0.837
S 0.199 0.830 0.059
S 0.201 0.171 0.337
S 0.201 0.827 0.561
S 0.211 0.487 0.942
S 0.400 0.170 0.038
S 0.400 0.828 0.261
S 0.400 0.832 0.760
S 0.401 0.172 0.535
S 0.402 0.487 0.660
S 0.413 0.510 0.150
S 0.586 0.489 0.849
S 0.598 0.510 0.337
S 0.598 0.829 0.462
S 0.599 0.829 0.959
S 0.600 0.168 0.237
S 0.601 0.173 0.735
S 0.788 0.512 0.054
S 0.799 0.828 0.661
S 0.800 0.171 0.437
S 0.801 0.170 0.937
S 0.801 0.829 0.160
S 0.812 0.510 0.548
S 0.998 0.511 0.738
S 0.999 0.168 0.636
S 0.999 0.172 0.137

Most intense lines, 2θ from 5° to 70°, sorted by position:
| 2θ (°) | intensity |
| --- | --- |
| 30.41 | 32 |
| 33.13 | 18 |
| 34.67 | 58 |
| 38.52 | 52 |
| 40.76 | 100 |
| 45.78 | 34 |
| 53.68 | 71 |
| 54.37 | 19 |